Structure and computed X-ray powder pattern of Mn4O7F (a crystal structure in Alexandria, relaxed with GGA+U; Cu Ka).
Peak positions follow from Bragg's law for the DFT cell and can differ from measured ones.

Principal peaks in the range 10 to 90 degrees two-theta, low angle first:
(hkl)	2theta	d/Å	I_rel
2 0 0	25.5	3.494	62.6
2 0 -2	26.0	3.422	54.9
2 2 0	31.3	2.859	98.4
2 2 -2	31.7	2.819	100.0
0 2 2	37.5	2.400	48.6
4 4 -2	55.4	1.659	49.1

Atomic structure:
Cell: 8.9142 9.9430 6.9915 Å, 90.00 128.37 90.00°
Space group Cc (No. 9)
One atom of each set of equivalent atoms:
Mn: 0.0000 0.0010 0.0000 [4 per cell]
Mn: 0.3524 0.2500 0.7041 [4 per cell]
Mn: 0.3520 0.2532 0.2021 [4 per cell]
Mn: 0.4892 0.0107 0.4948 [4 per cell]
O: 0.0970 0.1649 0.9603 [4 per cell]
O: 0.2528 0.4119 0.2447 [4 per cell]
O: 0.2550 0.0820 0.7433 [4 per cell]
O: 0.3608 0.1668 0.4587 [4 per cell]
O: 0.3713 0.3356 0.9695 [4 per cell]
O: 0.4876 0.0876 0.2410 [4 per cell]
O: 0.4948 0.4125 0.7476 [4 per cell]
F: 0.1040 0.3535 0.4732 [4 per cell]